Starting from a crystal structure in the Materials Project, relaxed with PBE, the powder diffraction line list of NaYGeP2SO12 was computed for a wavelength of 1.5418 Å.
Lines closer than 0.1° are merged.

The 8 most intense peaks (2θ from 15° to 90°), in order of rising 2θ:
| 2theta | I/Imax |
| --- | --- |
| 19.30 | 91 |
| 20.00 | 100 |
| 20.28 | 53 |
| 22.87 | 64 |
| 23.46 | 69 |
| 23.57 | 59 |
| 28.46 | 61 |
| 30.48 | 52 |

Structural model:
Cell: 8.8841 8.8841 9.0005 Å, 117.97 117.97 59.07°
Fractional positions:
Na: 0.2376 0.7624 0.5000
Na: 0.7624 0.2376 0.0000
Y: 0.0904 0.6036 0.0643
Y: 0.6036 0.0904 0.5643
Ge: 0.3833 0.8789 0.9302
Ge: 0.8789 0.3833 0.4302
P: 0.0132 0.1924 0.7434
P: 0.1924 0.0132 0.2434
P: 0.6835 0.7656 0.7391
P: 0.7656 0.6835 0.2391
S: 0.2695 0.5139 0.7367
S: 0.5139 0.2695 0.2367
O: 0.0120 0.1936 0.2588
O: 0.0456 0.3512 0.9027
O: 0.1136 0.4823 0.5771
O: 0.1610 0.8526 0.2284
O: 0.1936 0.0120 0.7588
O: 0.2216 0.9814 0.0657
O: 0.2491 0.5411 0.8994
O: 0.2746 0.6882 0.7486
O: 0.3512 0.0456 0.4027
O: 0.3643 0.4474 0.2242
O: 0.4474 0.3643 0.7242
O: 0.4823 0.1136 0.0771
O: 0.5121 0.7736 0.7598
O: 0.5411 0.2491 0.3994
O: 0.5944 0.7214 0.0695
O: 0.6352 0.9485 0.7208
O: 0.6882 0.2746 0.2486
O: 0.7214 0.5944 0.5695
O: 0.7443 0.8454 0.4016
O: 0.7736 0.5121 0.2598
O: 0.8454 0.7443 0.9016
O: 0.8526 0.1610 0.7284
O: 0.9485 0.6352 0.2208
O: 0.9814 0.2216 0.5657